[1]
Structure and theoretical X-ray powder pattern of Ti2CuP3O12 (a structure optimized by DFT (PBE); copper Kα).
Neutral-atom scattering factors, no anomalous dispersion.

Crystal structure
```
data_Ti2CuP3O12
_cell_length_a 8.6566
_cell_length_b 8.6566
_cell_length_c 21.2028
_cell_angle_alpha 90.00
_cell_angle_beta 90.00
_cell_angle_gamma 120.00
_symmetry_space_group_name_H-M 'R -3 c'
_symmetry_Int_Tables_number 167
_symmetry_space_group_name_Hall '-R 3 2"c'
loop_
_atom_site_label
_atom_site_fract_x
_atom_site_fract_y
_atom_site_fract_z
Ti1 0.0000 0.0000 0.1417
Cu1 0.0000 0.0000 0.0000
P1 0.0000 0.2890 0.2500
O1 0.0064 0.1902 0.1906
O2 0.0240 0.1893 0.9181
```

Principal peaks in the range 5° ≤ 2θ ≤ 70°, sorted by position:
index	Position (°2θ)	d_spacing	I/Imax
1 1 0	20.52	4.328	817
1 1 3	24.11	3.691	1000
1 1 6	32.71	2.737	808
3 0 0	35.94	2.499	348
1 2 8	46.94	1.936	323
4 1 0	56.23	1.636	389



[2]
Structure and theoretical X-ray powder pattern of TiCuP2O8 (a structure optimized by DFT (PBE); copper Kα).
Neutral-atom scattering factors, no anomalous dispersion.

Crystal structure
```
data_TiCuP2O8
_cell_length_a 8.6114
_cell_length_b 8.6114
_cell_length_c 20.9976
_cell_angle_alpha 90.00
_cell_angle_beta 90.00
_cell_angle_gamma 120.00
_symmetry_space_group_name_H-M 'R 3'
_symmetry_Int_Tables_number 146
_symmetry_space_group_name_Hall 'R 3'
loop_
_atom_site_label
_atom_site_fract_x
_atom_site_fract_y
_atom_site_fract_z
Ti1 0.0000 0.0000 0.0000
Ti2 0.0000 0.0000 0.2139
Ti3 0.0000 0.0000 0.7132
Cu1 0.0000 0.0000 0.3593
Cu2 0.0000 0.0000 0.5014
Cu3 0.0000 0.0000 0.8571
P1 0.9996 0.2899 0.6054
P2 0.0031 0.7081 0.1068
O1 0.0002 0.8121 0.0473
O2 0.0069 0.2027 0.5444
O3 0.0228 0.1856 0.2781
O4 0.0230 0.8359 0.7774
O5 0.1453 0.6678 0.8333
O6 0.1480 0.4782 0.3327
O7 0.1674 0.4823 0.6049
O8 0.1725 0.6922 0.1004
```

Principal peaks in the range 5° ≤ 2θ ≤ 70°, sorted by position:
index	Position (°2θ)	d_spacing	I/Imax
1 1 0	20.63	4.305	942
2 -1 3	24.27	3.667	1000
2 -1 6	32.97	2.716	868
3 0 0	36.13	2.486	372
1 2 8	47.32	1.921	331
2 2 6	49.72	1.834	293



[3]
Structure and theoretical X-ray powder pattern of TiCuP2O8 (a structure optimized by DFT (PBE); copper Kα).
Neutral-atom scattering factors, no anomalous dispersion.

Crystal structure
```
data_TiCuP2O8
_cell_length_a 4.9244
_cell_length_b 5.9846
_cell_length_c 9.8568
_cell_angle_alpha 90.00
_cell_angle_beta 90.77
_cell_angle_gamma 90.00
_symmetry_space_group_name_H-M 'P 1 21/m 1'
_symmetry_Int_Tables_number 11
loop_
_symmetry_equiv_pos_as_xyz
'x,y,z'
'-x,-y,-z'
'-x,y+1/2,-z'
'x,-y+1/2,z'
loop_
_atom_site_label
_atom_site_fract_x
_atom_site_fract_y
_atom_site_fract_z
Ti1 0.0271 0.2500 0.2766
Cu1 0.4188 0.2500 0.7844
P1 0.0667 0.7500 0.3988
P2 0.4099 0.7500 0.9030
O1 0.1490 0.7500 0.5521
O2 0.1955 0.5404 0.3292
O3 0.2430 0.2500 0.6124
O4 0.2517 0.5556 0.8275
O5 0.2873 0.2500 0.1321
O6 0.3623 0.7500 0.0541
```

Principal peaks in the range 5° ≤ 2θ ≤ 70°, sorted by position:
index	Position (°2θ)	d_spacing	I/Imax
0 0 2	18.00	4.928	777
1 0 -1	20.05	4.429	1000
1 1 -1	25.01	3.560	404
1 1 1	25.19	3.535	387
0 2 0	29.86	2.993	943
1 1 3	36.29	2.476	873



- What is the formula in the first record?
  Ti2CuP3O12